Starting from a GGA-PBE-relaxed structure, the PXRD pattern of Li2AcPt was calculated for Cu Kα X-rays.

Structure:
```
8
Lattice="2.093 -5.326 0.000 2.093 5.326 0.000 0.000 0.000 8.358" Properties=species:S:1:pos:R:3 pbc="T T T"
Li 2.093 3.439 4.673
Li 2.093 3.439 7.864
Li 2.093 -3.439 0.494
Li 2.093 -3.439 3.685
Ac 2.093 0.506 6.269
Ac 2.093 -0.506 2.090
Pt 2.093 2.577 2.090
Pt 2.093 -2.577 6.269
```

Largest 8 diffraction maxima, by angle, 2θ from 10° to 80°:
two_theta	I (rel.)
21.26	100
22.83	48
25.22	25
31.39	47
34.83	93
43.27	35
46.79	42
48.66	23